CoPt3O6: computed powder XRD pattern (Cu Kα), based on a crystal structure in Alexandria, relaxed with PBE+U.
Peak positions follow from Bragg's law for the DFT cell and can differ from measured ones.

Most intense lines, 2θ from 10° to 90°, low angle first:
hkl, 2θ (°), I/Imax
1 1 0, 15.23, 18
2 2 0, 30.73, 100
1 1 1, 31.64, 12
0 2 1, 32.95, 87
0 4 0, 35.81, 25
2 0 1, 37.51, 44
4 0 0, 51.14, 15
2 4 1, 52.82, 57
2 6 0, 61.21, 15
4 2 1, 62.19, 28
0 6 1, 62.54, 13
2 2 2, 66.09, 23

Lattice parameters (Å, degrees): 7.1445 10.0309 3.2351 90.00 90.00 90.00
Space group Cmmm (No. 65)
Asymmetric unit:
1 Co 0.0000 0.0000 0.0000 [2 per cell]
2 Pt 0.0000 0.5000 0.0000 [2 per cell]
3 Pt 0.2500 0.2500 0.5000 [4 per cell]
4 O 0.0000 0.1466 0.5000 [4 per cell]
5 O 0.2138 0.3731 0.0000 [8 per cell]